Starting from the PBE geometry in the Materials Project, the XRD peak list of Ge2Br7N3 was simulated for Cu Kα X-rays.
Intensities are scaled so that the largest is 100.

Largest 12 diffraction maxima, most intense first, 2θ from 5° to 70°:
2θ = 14.5°, d 6.111, rel. 100, (0 2 0); 2θ = 23.3°, d 3.817, rel. 82, (2 2 1); 2θ = 15.7°, d 5.651, rel. 55, (1 0 2); 2θ = 31.1°, d 2.871, rel. 53, (3 2 -3); 2θ = 16.1°, d 5.519, rel. 51, (2 0 0); 2θ = 13.1°, d 6.739, rel. 41, (1 0 -2); 2θ = 11.6°, d 7.626, rel. 39, (1 1 -1); 2θ = 30.7°, d 2.916, rel. 37, (1 4 -1); 2θ = 28.4°, d 3.146, rel. 36, (3 1 -3); 2θ = 19.5°, d 4.546, rel. 33, (0 1 3); 2θ = 31.7°, d 2.826, rel. 33, (2 0 4); 2θ = 28.5°, d 3.130, rel. 31, (2 3 1)

Structure:
a = 11.240 Å, b = 12.221 Å, c = 14.989 Å
α = 90.00°, β = 100.87°, γ = 90.00°
Space group P2_1/c (No. 14)
One atom of each set of equivalent atoms:
Ge (0.187, 0.024, 0.445)
Ge (0.260, 0.517, 0.379)
Br (0.071, 0.581, 0.313)
Br (0.074, 0.636, 0.956)
Br (0.262, 0.171, 0.865)
Br (0.304, 0.562, 0.531)
Br (0.309, 0.506, 0.835)
Br (0.313, 0.065, 0.585)
Br (0.402, 0.597, 0.308)
N (0.109, 0.690, 0.673)
N (0.205, 0.181, 0.137)
N (0.458, 0.681, 0.038)


Starting from the PBE geometry in the Materials Project, the XRD peak list of LiNbTe3O12 was simulated for Cu Kα X-rays.
Intensities are scaled so that the largest is 100.

Largest 12 diffraction maxima, most intense first, 2θ from 5° to 70°:
2θ = 23.9°, d 3.721, rel. 100, (1 1 0); 2θ = 33.4°, d 2.683, rel. 33, (-1 1 2); 2θ = 34.7°, d 2.582, rel. 22, (1 -1 2); 2θ = 54.3°, d 1.690, rel. 20, (1 3 0); 2θ = 48.9°, d 1.861, rel. 11, (2 2 0); 2θ = 56.1°, d 1.640, rel. 11, (2 2 -2); 2θ = 42.7°, d 2.120, rel. 9, (2 0 -2); 2θ = 58.8°, d 1.570, rel. 7, (1 3 2); 2θ = 62.3°, d 1.490, rel. 6, (3 1 -2); 2θ = 61.4°, d 1.509, rel. 6, (2 0 4); 2θ = 40.3°, d 2.236, rel. 6, (0 2 2); 2θ = 49.0°, d 1.858, rel. 6, (2 -2 0)

Structure:
a = 5.156 Å, b = 5.377 Å, c = 7.459 Å
α = 86.95°, β = 89.99°, γ = 89.92°
Space group P1 (No. 1)
One atom of each set of equivalent atoms:
Li (0.000, 0.000, 0.000)
Nb (0.995, 0.547, 0.768)
Te (0.494, 0.048, 0.772)
Te (0.500, 0.046, 0.280)
Te (0.997, 0.542, 0.277)
O (0.116, 0.548, 0.518)
O (0.188, 0.858, 0.211)
O (0.192, 0.230, 0.839)
O (0.304, 0.751, 0.833)
O (0.306, 0.349, 0.209)
O (0.368, 0.047, 0.524)
O (0.626, 0.048, 0.030)
O (0.683, 0.351, 0.725)
O (0.687, 0.736, 0.344)
O (0.804, 0.866, 0.730)
O (0.812, 0.231, 0.341)
O (0.891, 0.554, 0.034)